# 1
This entry pairs a crystal structure of Pm6Se3S2 with its theoretical PXRD pattern. Radiation: copper Kα. Structure: a DFT-relaxed cell (PBE, Alexandria).
Intensities are scaled so that the largest is 100.

Cell and atoms:
a b c (Å): 4.0836 4.0836 60.6293
angles (deg): 90.00 90.00 120.00
Space group R-3m (No. 166, hexagonal axes)
Inequivalent atoms, fractional coordinates:
Pm 0.0000 0.0000 0.0892 (multiplicity 6)
Pm 0.0000 0.0000 0.1923 (multiplicity 6)
Pm 0.0000 0.0000 0.3616 (multiplicity 6)
Se 0.0000 0.0000 0.0000 (multiplicity 3)
Se 0.0000 0.0000 0.2747 (multiplicity 6)
S 0.0000 0.0000 0.4483 (multiplicity 6)

Largest 10 diffraction maxima, in order of rising 2θ, 15 to 90 degrees two-theta:
| d (Å) | 2theta | I (rel.) |
| --- | --- | --- |
| 3.368 | 26.46 | 10.1 |
| 3.274 | 27.24 | 16.7 |
| 2.976 | 30.02 | 100.0 |
| 2.174 | 41.54 | 26.1 |
| 2.042 | 44.37 | 39.5 |
| 2.000 | 45.34 | 10.5 |
| 1.746 | 52.40 | 9.7 |
| 1.684 | 54.50 | 22.2 |
| 1.488 | 62.40 | 7.8 |
| 1.299 | 72.80 | 25.1 |

***

# 2
This entry pairs a crystal structure of Pm4Si2H with its theoretical PXRD pattern. Radiation: copper Kα. Structure: a DFT-relaxed cell (PBE, Alexandria).
Intensities are scaled so that the largest is 100.

Cell and atoms:
a b c (Å): 6.4365 6.5000 8.6612
angles (deg): 90.00 109.37 90.00
Space group P2_1/m (No. 11)
Inequivalent atoms, fractional coordinates:
Pm 0.0121 0.0004 0.2649 (multiplicity 4)
Pm 0.4083 0.2500 0.0896 (multiplicity 2)
Pm 0.4320 0.2500 0.6215 (multiplicity 2)
Si 0.2141 0.7500 0.0481 (multiplicity 2)
Si 0.2647 0.7500 0.5721 (multiplicity 2)
H 0.2509 0.2500 0.8109 (multiplicity 2)

Largest 10 diffraction maxima, in order of rising 2θ, 15 to 90 degrees two-theta:
| d (Å) | 2theta | I (rel.) |
| --- | --- | --- |
| 4.079 | 21.79 | 25.5 |
| 3.455 | 25.79 | 62.4 |
| 3.036 | 29.42 | 29.7 |
| 2.965 | 30.14 | 47.7 |
| 2.950 | 30.30 | 51.0 |
| 2.865 | 31.22 | 100.0 |
| 2.542 | 35.31 | 78.3 |
| 2.165 | 41.71 | 28.8 |
| 1.772 | 51.58 | 23.2 |
| 1.726 | 53.07 | 21.2 |

***

# 3
This entry pairs a crystal structure of Na5B7C3 with its theoretical PXRD pattern. Radiation: copper Kα. Structure: a DFT-relaxed cell (PBE, Alexandria).
Intensities are scaled so that the largest is 100.

Cell and atoms:
a b c (Å): 14.6622 4.9633 9.0814
angles (deg): 90.00 108.82 90.00
Space group C2/c (No. 15)
Inequivalent atoms, fractional coordinates:
Na 0.0504 0.2499 0.0007 (multiplicity 8)
Na 0.1500 0.2496 0.4978 (multiplicity 8)
Na 0.2500 0.2500 0.0000 (multiplicity 4)
B 0.0000 0.0874 0.2500 (multiplicity 4)
B 0.0942 0.4139 0.7486 (multiplicity 8)
B 0.1923 0.0563 0.2485 (multiplicity 8)
B 0.2011 0.4309 0.2490 (multiplicity 8)
C 0.0000 0.4232 0.2500 (multiplicity 4)
C 0.0947 0.0769 0.7478 (multiplicity 8)

Largest 10 diffraction maxima, in order of rising 2θ, 15 to 90 degrees two-theta:
| d (Å) | 2theta | I (rel.) |
| --- | --- | --- |
| 2.525 | 35.56 | 21.7 |
| 2.177 | 41.48 | 100.0 |
| 2.149 | 42.04 | 94.8 |
| 1.636 | 56.21 | 11.8 |
| 1.466 | 63.44 | 9.2 |
| 1.441 | 64.69 | 17.2 |
| 1.246 | 76.44 | 12.5 |
| 1.241 | 76.83 | 8.3 |
| 1.211 | 79.06 | 21.5 |
| 1.197 | 80.20 | 17.0 |

***

# 4
This entry pairs a crystal structure of AgBi2F8 with its theoretical PXRD pattern. Radiation: copper Kα. Structure: a DFT-relaxed cell (PBE, Alexandria).
Intensities are scaled so that the largest is 100.

Cell and atoms:
a b c (Å): 7.1157 10.3348 4.5507
angles (deg): 90.00 107.97 90.00
Space group C2/m (No. 12)
Inequivalent atoms, fractional coordinates:
Ag 0.0000 0.0000 0.0000 (multiplicity 2)
Bi 0.0000 0.3084 0.5000 (multiplicity 4)
F 0.0000 0.2171 0.0000 (multiplicity 4)
F 0.1750 0.5000 0.8138 (multiplicity 4)
F 0.2021 0.1392 0.6096 (multiplicity 8)

Largest 10 diffraction maxima, in order of rising 2θ, 15 to 90 degrees two-theta:
| d (Å) | 2theta | I (rel.) |
| --- | --- | --- |
| 5.167 | 17.16 | 29.9 |
| 4.329 | 20.52 | 45.0 |
| 3.968 | 22.40 | 51.0 |
| 3.384 | 26.34 | 60.8 |
| 3.318 | 26.87 | 86.2 |
| 3.072 | 29.07 | 100.0 |
| 2.712 | 33.03 | 35.1 |
| 2.149 | 42.05 | 27.3 |
| 1.887 | 48.22 | 31.7 |
| 1.863 | 48.90 | 35.2 |

***

# 5
This entry pairs a crystal structure of SmY5Tm4 with its theoretical PXRD pattern. Radiation: copper Kα. Structure: a DFT-relaxed cell (PBE, Alexandria).
Intensities are scaled so that the largest is 100.

Cell and atoms:
a b c (Å): 5.4166 7.0210 8.7466
angles (deg): 89.95 72.04 89.95
Space group P1 (No. 1)
Inequivalent atoms, fractional coordinates:
Sm 0.0000 0.0000 0.0000 (multiplicity 1)
Y 0.1994 0.4957 0.6015 (multiplicity 1)
Y 0.3882 0.7461 0.2229 (multiplicity 1)
Y 0.6094 0.7471 0.7813 (multiplicity 1)
Y 0.7982 0.9990 0.4030 (multiplicity 1)
Y 0.9979 0.4965 0.0038 (multiplicity 1)
Tm 0.1989 0.9991 0.6025 (multiplicity 1)
Tm 0.3883 0.2493 0.2227 (multiplicity 1)
Tm 0.6095 0.2475 0.7814 (multiplicity 1)
Tm 0.7989 0.4955 0.4014 (multiplicity 1)

Largest 10 diffraction maxima, in order of rising 2θ, 15 to 90 degrees two-theta:
| d (Å) | 2theta | I (rel.) |
| --- | --- | --- |
| 2.901 | 30.82 | 87.0 |
| 2.836 | 31.55 | 100.0 |
| 2.708 | 33.08 | 46.0 |
| 2.683 | 33.40 | 42.9 |
| 2.602 | 34.47 | 18.8 |
| 2.176 | 41.49 | 15.6 |
| 1.906 | 47.71 | 31.4 |
| 1.587 | 58.12 | 17.4 |
| 1.566 | 58.98 | 17.9 |
| 1.493 | 62.18 | 25.9 |

***

# 6
This entry pairs a crystal structure of Nd2Mg12Hg7 with its theoretical PXRD pattern. Radiation: copper Kα. Structure: a DFT-relaxed cell (PBE, Alexandria).
Intensities are scaled so that the largest is 100.

Cell and atoms:
a b c (Å): 11.5135 11.5135 4.3297
angles (deg): 90.00 90.00 120.00
Space group P-3 (No. 147)
Inequivalent atoms, fractional coordinates:
Nd 0.3333 0.6667 0.2509 (multiplicity 2)
Mg 0.0445 0.4313 0.7496 (multiplicity 6)
Mg 0.1089 0.2655 0.2446 (multiplicity 6)
Hg 0.0000 0.0000 0.5000 (multiplicity 1)
Hg 0.1370 0.7116 0.7498 (multiplicity 6)

Largest 10 diffraction maxima, in order of rising 2θ, 15 to 90 degrees two-theta:
| d (Å) | 2theta | I (rel.) |
| --- | --- | --- |
| 3.769 | 23.61 | 100.0 |
| 3.460 | 25.75 | 34.8 |
| 3.269 | 27.28 | 55.4 |
| 2.843 | 31.47 | 69.6 |
| 2.636 | 34.00 | 21.4 |
| 2.331 | 38.63 | 37.3 |
| 2.176 | 41.50 | 59.1 |
| 2.163 | 41.76 | 23.8 |
| 2.023 | 44.81 | 26.2 |
| 1.534 | 60.34 | 39.6 |

***

# 7
This entry pairs a crystal structure of LiPaBrF4 with its theoretical PXRD pattern. Radiation: copper Kα. Structure: a DFT-relaxed cell (PBE, Alexandria).
Intensities are scaled so that the largest is 100.

Cell and atoms:
a b c (Å): 10.7519 7.2251 7.1572
angles (deg): 90.00 108.42 90.00
Space group C2/m (No. 12)
Inequivalent atoms, fractional coordinates:
Li 0.1337 0.0000 0.2787 (multiplicity 4)
Pa 0.2391 0.5000 0.1275 (multiplicity 4)
Br 0.0052 0.5000 0.7586 (multiplicity 4)
F 0.0513 0.0000 0.8077 (multiplicity 4)
F 0.2018 0.0000 0.5545 (multiplicity 4)
F 0.2109 0.1876 0.1436 (multiplicity 8)

Largest 10 diffraction maxima, in order of rising 2θ, 15 to 90 degrees two-theta:
| d (Å) | 2theta | I (rel.) |
| --- | --- | --- |
| 5.100 | 17.39 | 61.2 |
| 4.919 | 18.03 | 100.0 |
| 4.097 | 21.69 | 47.7 |
| 3.613 | 24.64 | 91.8 |
| 3.163 | 28.21 | 44.4 |
| 2.734 | 32.75 | 62.2 |
| 2.695 | 33.24 | 53.1 |
| 2.550 | 35.19 | 37.5 |
| 2.266 | 39.79 | 37.3 |
| 2.083 | 43.44 | 32.9 |

***

# 8
This entry pairs a crystal structure of Ti3Cu with its theoretical PXRD pattern. Radiation: copper Kα. Structure: a DFT-relaxed cell (PBE, Alexandria).
Intensities are scaled so that the largest is 100.

Cell and atoms:
a b c (Å): 3.8738 3.8738 8.3789
angles (deg): 90.00 90.00 90.00
Space group I4/mmm (No. 139)
Inequivalent atoms, fractional coordinates:
Ti 0.0000 0.0000 0.0000 (multiplicity 2)
Ti 0.0000 0.5000 0.2500 (multiplicity 4)
Cu 0.0000 0.0000 0.5000 (multiplicity 2)

Largest 10 diffraction maxima, in order of rising 2θ, 15 to 90 degrees two-theta:
| d (Å) | 2theta | I (rel.) |
| --- | --- | --- |
| 4.189 | 21.21 | 1.2 |
| 3.516 | 25.33 | 3.2 |
| 2.293 | 39.30 | 100.0 |
| 2.095 | 43.19 | 18.7 |
| 1.937 | 46.91 | 28.9 |
| 1.422 | 65.65 | 19.1 |
| 1.370 | 68.51 | 8.3 |
| 1.244 | 76.58 | 11.7 |
| 1.176 | 81.94 | 19.3 |
| 1.146 | 84.52 | 8.9 |

***

# 9
This entry pairs a crystal structure of Tl4In3Hg4 with its theoretical PXRD pattern. Radiation: copper Kα. Structure: a DFT-relaxed cell (PBE, Alexandria).
Intensities are scaled so that the largest is 100.

Cell and atoms:
a b c (Å): 10.1315 4.8559 12.9767
angles (deg): 90.00 90.00 90.00
Space group Amm2 (No. 38)
Inequivalent atoms, fractional coordinates:
Tl 0.0000 0.0000 0.0000 (multiplicity 2)
Tl 0.2376 0.0000 0.4705 (multiplicity 4)
Tl 0.5000 0.0000 0.9603 (multiplicity 2)
In 0.1981 0.0000 0.7785 (multiplicity 4)
In 0.5000 0.0000 0.6582 (multiplicity 2)
Hg 0.0000 0.0000 0.2816 (multiplicity 2)
Hg 0.2699 0.0000 0.1401 (multiplicity 4)
Hg 0.5000 0.0000 0.3083 (multiplicity 2)

Largest 10 diffraction maxima, in order of rising 2θ, 15 to 90 degrees two-theta:
| d (Å) | 2theta | I (rel.) |
| --- | --- | --- |
| 4.548 | 19.52 | 8.7 |
| 2.723 | 32.89 | 100.0 |
| 2.533 | 35.44 | 18.5 |
| 2.428 | 37.03 | 21.3 |
| 2.163 | 41.76 | 10.6 |
| 1.753 | 52.19 | 12.4 |
| 1.615 | 57.03 | 8.6 |
| 1.496 | 62.02 | 10.5 |
| 1.452 | 64.13 | 16.0 |
| 1.362 | 68.97 | 8.4 |

***

# 10
This entry pairs a crystal structure of Tb2NdSm2Dy4 with its theoretical PXRD pattern. Radiation: copper Kα. Structure: a DFT-relaxed cell (PBE, Alexandria).
Intensities are scaled so that the largest is 100.

Cell and atoms:
a b c (Å): 18.7505 3.6101 9.5993
angles (deg): 90.00 115.74 90.00
Space group C2/m (No. 12)
Inequivalent atoms, fractional coordinates:
Tb 0.1476 0.0000 0.1646 (multiplicity 4)
Nd 0.0000 0.0000 0.5000 (multiplicity 2)
Sm 0.1671 0.5000 0.5006 (multiplicity 4)
Dy 0.0193 0.5000 0.8361 (multiplicity 4)
Dy 0.1858 0.0000 0.8360 (multiplicity 4)

Largest 10 diffraction maxima, in order of rising 2θ, 15 to 90 degrees two-theta:
| d (Å) | 2theta | I (rel.) |
| --- | --- | --- |
| 3.103 | 28.77 | 36.2 |
| 3.039 | 29.39 | 18.3 |
| 2.882 | 31.03 | 51.3 |
| 2.816 | 31.78 | 100.0 |
| 2.677 | 33.47 | 91.5 |
| 1.805 | 50.58 | 39.6 |
| 1.682 | 54.56 | 20.7 |
| 1.594 | 57.85 | 20.1 |
| 1.530 | 60.53 | 46.1 |
| 1.126 | 86.41 | 20.0 |

***

# 11
This entry pairs a crystal structure of Ac4ZnO7 with its theoretical PXRD pattern. Radiation: copper Kα. Structure: a DFT-relaxed cell (PBE, Alexandria).
Intensities are scaled so that the largest is 100.

Cell and atoms:
a b c (Å): 13.8094 4.2714 9.5833
angles (deg): 90.00 132.98 90.00
Space group C2/m (No. 12)
Inequivalent atoms, fractional coordinates:
Ac 0.0826 0.0000 0.3825 (multiplicity 4)
Ac 0.2460 0.0000 0.1528 (multiplicity 4)
Zn 0.0000 0.5000 0.0000 (multiplicity 2)
O 0.0000 0.0000 0.0000 (multiplicity 2)
O 0.0837 0.5000 0.8940 (multiplicity 4)
O 0.1348 0.0000 0.6993 (multiplicity 4)
O 0.2036 0.5000 0.5542 (multiplicity 4)

Largest 10 diffraction maxima, in order of rising 2θ, 15 to 90 degrees two-theta:
| d (Å) | 2theta | I (rel.) |
| --- | --- | --- |
| 3.934 | 22.60 | 25.4 |
| 3.161 | 28.24 | 35.6 |
| 3.098 | 28.82 | 100.0 |
| 3.060 | 29.19 | 61.0 |
| 3.031 | 29.47 | 82.6 |
| 2.136 | 42.32 | 27.7 |
| 2.114 | 42.78 | 35.2 |
| 1.787 | 51.13 | 24.7 |
| 1.752 | 52.22 | 30.4 |
| 1.748 | 52.33 | 24.9 |

***

# 12
This entry pairs a crystal structure of Sr2DyCu2Bi2O8 with its theoretical PXRD pattern. Radiation: copper Kα. Structure: a DFT-relaxed cell (PBE, Alexandria).
Intensities are scaled so that the largest is 100.

Cell and atoms:
a b c (Å): 3.7905 3.7905 30.7301
angles (deg): 90.00 90.00 90.00
Space group I4/mmm (No. 139)
Inequivalent atoms, fractional coordinates:
Sr 0.0000 0.0000 0.1138 (multiplicity 4)
Dy 0.0000 0.0000 0.0000 (multiplicity 2)
Cu 0.0000 0.0000 0.4482 (multiplicity 4)
Bi 0.0000 0.0000 0.2971 (multiplicity 4)
O 0.0000 0.0000 0.2006 (multiplicity 4)
O 0.0000 0.0000 0.3663 (multiplicity 4)
O 0.0000 0.5000 0.0481 (multiplicity 8)

Largest 10 diffraction maxima, in order of rising 2θ, 15 to 90 degrees two-theta:
| d (Å) | 2theta | I (rel.) |
| --- | --- | --- |
| 3.555 | 25.05 | 43.9 |
| 3.226 | 27.65 | 45.7 |
| 3.073 | 29.06 | 19.6 |
| 2.869 | 31.17 | 100.0 |
| 2.680 | 33.43 | 90.5 |
| 2.536 | 35.40 | 19.3 |
| 2.020 | 44.87 | 39.3 |
| 1.895 | 48.00 | 42.2 |
| 1.633 | 56.35 | 32.8 |
| 1.581 | 58.35 | 35.7 |